Structure and computed X-ray diffraction stick pattern of SmBe4Zn8 (a cell relaxed with GGA-PBE; a wavelength of 1.5418 Å).

Atomic structure:
Cell lengths 8.5118, 8.5118, 4.8126 Å; angles 90.00, 90.00, 90.00 degrees
Space group I4/mmm (No. 139)
Symmetry-distinct sites (fractional):
Sm1 0.0000 0.0000 0.0000 x2
Be1 0.2500 0.2500 0.2500 x8
Zn1 0.0000 0.2223 0.5000 x8
Zn2 0.0000 0.3475 0.0000 x8

Largest 10 diffraction maxima, low angle first, 15 to 90 degrees two-theta:
two_theta, I_rel
20.87, 41
29.93, 22
36.77, 50
37.37, 45
42.48, 27
42.66, 100
43.19, 19
57.84, 17
71.04, 21
77.85, 24

Structure and computed X-ray diffraction stick pattern of Gd4Ga16Co3 (a cell relaxed with GGA-PBE; a wavelength of 1.5418 Å).

Atomic structure:
Cell lengths 6.0370, 6.0370, 11.1380 Å; angles 90.00, 90.00, 90.00 degrees
Space group P4/mmm (No. 123)
Symmetry-distinct sites (fractional):
Gd1 0.0000 0.5000 0.1948 x4
Ga1 0.0000 0.0000 0.1950 x2
Ga2 0.2196 0.2196 0.0000 x4
Ga3 0.2503 0.2503 0.3851 x8
Ga4 0.5000 0.5000 0.2188 x2
Co1 0.0000 0.5000 0.5000 x2
Co2 0.5000 0.5000 0.0000 x1

Largest 10 diffraction maxima, low angle first, 15 to 90 degrees two-theta:
two_theta, I_rel
20.81, 17
31.95, 23
33.78, 56
38.44, 100
40.50, 29
42.35, 72
44.26, 18
60.03, 34
61.43, 22
74.84, 24

Structure and computed X-ray diffraction stick pattern of NdGdSi4Os2 (a cell relaxed with GGA-PBE; a wavelength of 1.5418 Å).

Atomic structure:
Cell lengths 4.4627, 4.1294, 8.2098 Å; angles 90.00, 101.89, 90.00 degrees
Space group Pm (No. 6)
Symmetry-distinct sites (fractional):
Nd1 0.0000 0.0000 0.0000 x1
Gd1 0.1811 0.5000 0.4041 x1
Si1 0.2538 0.0000 0.6937 x1
Si2 0.5503 0.5000 0.1097 x1
Si3 0.6275 0.0000 0.2918 x1
Si4 0.9234 0.5000 0.7033 x1
Os1 0.4710 0.5000 0.8128 x1
Os2 0.7056 0.0000 0.5850 x1

Largest 10 diffraction maxima, low angle first, 15 to 90 degrees two-theta:
two_theta, I_rel
29.78, 52
30.29, 100
31.06, 79
33.29, 82
35.53, 55
40.13, 52
40.52, 29
43.85, 40
50.59, 22
57.66, 28

Structure and computed X-ray diffraction stick pattern of Tb2Pb2S2O5 (a cell relaxed with GGA-PBE; a wavelength of 1.5418 Å).

Atomic structure:
Cell lengths 3.9608, 3.9608, 24.8575 Å; angles 90.00, 90.00, 90.00 degrees
Space group I4/mmm (No. 139)
Symmetry-distinct sites (fractional):
Tb1 0.0000 0.0000 0.1757 x4
Pb1 0.0000 0.0000 0.4178 x4
S1 0.0000 0.0000 0.2898 x4
O1 0.0000 0.0000 0.5000 x2
O2 0.0000 0.5000 0.1175 x8

Largest 10 diffraction maxima, low angle first, 15 to 90 degrees two-theta:
two_theta, I_rel
22.73, 38
24.92, 42
28.81, 100
31.95, 73
33.90, 47
43.50, 35
45.82, 37
55.02, 41
55.15, 25
58.20, 20